No. 1
Structure and computed X-ray powder pattern of Tb3SbRu (a crystal structure in Alexandria, relaxed with PBE; CuKα).
No peak broadening, texture or thermal motion is included.

Top 10 peaks for 2θ from 5° to 70°, in order of rising 2θ:
2θ (°)  d [Å]  I/Imax
24.79  3.592  64
28.61  3.121  32
31.75  2.818  32
32.18  2.782  84
33.91  2.643  92
34.14  2.626  68
35.01  2.563  100
36.05  2.492  51
39.15  2.301  72
56.93  1.617  32

```
data_Tb3SbRu
_symmetry_space_group_name_H-M 'C 1 2/c 1'
_symmetry_Int_Tables_number 15
_symmetry_space_group_name_Hall '-C 2yc'
_cell_length_a 13.1781
_cell_length_b 10.8863
_cell_length_c 7.6171
_cell_angle_alpha 90.00
_cell_angle_beta 90.00
_cell_angle_gamma 90.00
loop_
_atom_site_label
_atom_site_type_symbol
_atom_site_fract_x
_atom_site_fract_y
_atom_site_fract_z
_atom_site_occupancy
Tb1 Tb 0.1113 0.0795 0.4058 1
Tb2 Tb 0.1120 0.4209 0.5940 1
Tb3 Tb 0.2498 0.1802 0.8000 1
Sb1 Sb 0.0000 0.1682 0.7500 1
Sb2 Sb 0.0000 0.3324 0.2500 1
Ru1 Ru 0.2495 0.0513 0.1236 1
```

No. 2
Structure and computed X-ray powder pattern of Tb12Sb6Ru (a crystal structure in Alexandria, relaxed with PBE; CuKα).
No peak broadening, texture or thermal motion is included.

Top 10 peaks for 2θ from 5° to 70°, in order of rising 2θ:
2θ (°)  d [Å]  I/Imax
22.00  4.041  50
25.45  3.499  32
30.51  2.930  50
32.07  2.791  94
36.30  2.475  100
37.64  2.390  43
42.86  2.110  22
51.26  1.782  24
53.25  1.720  23
61.75  1.502  23

```
data_Tb12Sb6Ru
_symmetry_space_group_name_H-M 'R -3'
_symmetry_Int_Tables_number 148
_symmetry_space_group_name_Hall '-R 3'
_cell_length_a 13.0878
_cell_length_b 13.0878
_cell_length_c 12.1333
_cell_angle_alpha 90.00
_cell_angle_beta 90.00
_cell_angle_gamma 120.00
loop_
_atom_site_label
_atom_site_type_symbol
_atom_site_fract_x
_atom_site_fract_y
_atom_site_fract_z
_atom_site_occupancy
Tb1 Tb 0.0296 0.1915 0.3873 1
Tb2 Tb 0.0618 0.1924 0.8790 1
Sb1 Sb 0.0460 0.2852 0.6397 1
Ru1 Ru 0.0000 0.0000 0.0000 1
```

No. 3
Structure and computed X-ray powder pattern of SbTe2Ru (a crystal structure in Alexandria, relaxed with PBE; CuKα).
No peak broadening, texture or thermal motion is included.

Top 10 peaks for 2θ from 5° to 70°, in order of rising 2θ:
2θ (°)  d [Å]  I/Imax
14.25  6.213  55
25.22  3.531  42
28.77  3.103  46
29.56  3.022  43
30.98  2.887  100
35.46  2.532  86
39.66  2.272  48
41.58  2.172  62
43.70  2.071  41
46.24  1.963  47

```
data_SbTe2Ru
_symmetry_space_group_name_H-M 'C 1 m 1'
_symmetry_Int_Tables_number 8
_symmetry_space_group_name_Hall 'C -2y'
_cell_length_a 9.0931
_cell_length_b 3.8850
_cell_length_c 6.6746
_cell_angle_alpha 90.00
_cell_angle_beta 111.42
_cell_angle_gamma 90.00
loop_
_atom_site_label
_atom_site_type_symbol
_atom_site_fract_x
_atom_site_fract_y
_atom_site_fract_z
_atom_site_occupancy
Sb1 Sb 0.0000 0.0000 0.0000 1
Te1 Te 0.1736 0.5000 0.6879 1
Te2 Te 0.3508 0.5000 0.3149 1
Ru1 Ru 0.2911 0.0000 0.9961 1
```

No. 4
Structure and computed X-ray powder pattern of SbTeRu (a crystal structure in Alexandria, relaxed with PBE; CuKα).
No peak broadening, texture or thermal motion is included.

Top 10 peaks for 2θ from 5° to 70°, in order of rising 2θ:
2θ (°)  d [Å]  I/Imax
28.77  3.103  57
31.46  2.844  79
31.87  2.808  100
42.63  2.121  70
44.22  2.048  16
48.03  1.894  45
48.90  1.863  26
50.82  1.797  29
59.31  1.558  25
65.66  1.422  15

```
data_SbTeRu
_symmetry_space_group_name_H-M 'F d d 2'
_symmetry_Int_Tables_number 43
_symmetry_space_group_name_Hall 'F 2 -2d'
_cell_length_a 11.2106
_cell_length_b 13.2008
_cell_length_c 7.4509
_cell_angle_alpha 90.00
_cell_angle_beta 90.00
_cell_angle_gamma 90.00
loop_
_atom_site_label
_atom_site_type_symbol
_atom_site_fract_x
_atom_site_fract_y
_atom_site_fract_z
_atom_site_occupancy
Sb1 Sb 0.0985 0.0704 0.0000 1
Te1 Te 0.1048 0.0691 0.5006 1
Ru1 Ru 0.0014 0.2477 0.5005 1
```

No. 5
Structure and computed X-ray powder pattern of Th3Sb4Ru3 (a crystal structure in Alexandria, relaxed with PBE; CuKα).
No peak broadening, texture or thermal motion is included.

Top 10 peaks for 2θ from 5° to 70°, in order of rising 2θ:
2θ (°)  d [Å]  I/Imax
22.14  4.014  13
28.71  3.109  42
34.12  2.628  100
41.05  2.199  48
43.15  2.096  14
45.17  2.007  14
50.86  1.795  13
57.80  1.595  19
59.45  1.555  12
65.80  1.419  11

```
data_Th3Sb4Ru3
_symmetry_space_group_name_H-M 'I -4 3 d'
_symmetry_Int_Tables_number 220
_symmetry_space_group_name_Hall 'I -4bd 2c 3'
_cell_length_a 9.8330
_cell_length_b 9.8330
_cell_length_c 9.8330
_cell_angle_alpha 90.00
_cell_angle_beta 90.00
_cell_angle_gamma 90.00
loop_
_atom_site_label
_atom_site_type_symbol
_atom_site_fract_x
_atom_site_fract_y
_atom_site_fract_z
_atom_site_occupancy
Th1 Th 0.0000 0.2500 0.3750 1
Sb1 Sb 0.0827 0.0827 0.0827 1
Ru1 Ru 0.0000 0.2500 0.8750 1
```

No. 6
Structure and computed X-ray powder pattern of Th3SbRu (a crystal structure in Alexandria, relaxed with PBE; CuKα).
No peak broadening, texture or thermal motion is included.

Top 10 peaks for 2θ from 5° to 70°, in order of rising 2θ:
2θ (°)  d [Å]  I/Imax
26.88  3.317  16
28.85  3.095  54
29.53  3.025  60
31.32  2.856  100
31.59  2.833  77
31.73  2.820  19
36.14  2.485  24
40.73  2.215  39
48.33  1.883  25
52.44  1.745  38

```
data_Th3SbRu
_symmetry_space_group_name_H-M 'P n m a'
_symmetry_Int_Tables_number 62
_symmetry_space_group_name_Hall '-P 2ac 2n'
_cell_length_a 8.6132
_cell_length_b 4.4305
_cell_length_c 15.0090
_cell_angle_alpha 90.00
_cell_angle_beta 90.00
_cell_angle_gamma 90.00
loop_
_atom_site_label
_atom_site_type_symbol
_atom_site_fract_x
_atom_site_fract_y
_atom_site_fract_z
_atom_site_occupancy
Th1 Th 0.0274 0.2500 0.1057 1
Th2 Th 0.1468 0.2500 0.5092 1
Th3 Th 0.1876 0.7500 0.2793 1
Sb1 Sb 0.0903 0.7500 0.6771 1
Ru1 Ru 0.1815 0.2500 0.9383 1
```

No. 7
Structure and computed X-ray powder pattern of Tm4Sb2Ru (a crystal structure in Alexandria, relaxed with PBE; CuKα).
No peak broadening, texture or thermal motion is included.

Top 10 peaks for 2θ from 5° to 70°, in order of rising 2θ:
2θ (°)  d [Å]  I/Imax
27.70  3.220  23
28.02  3.184  100
28.55  3.126  52
37.67  2.388  64
38.18  2.357  18
39.16  2.300  31
40.91  2.206  34
43.05  2.101  52
50.65  1.802  25
57.92  1.592  20

```
data_Tm4Sb2Ru
_symmetry_space_group_name_H-M 'C 1 2/m 1'
_symmetry_Int_Tables_number 12
_symmetry_space_group_name_Hall '-C 2y'
_cell_length_a 14.0404
_cell_length_b 4.4115
_cell_length_c 7.1706
_cell_angle_alpha 90.00
_cell_angle_beta 119.31
_cell_angle_gamma 90.00
loop_
_atom_site_label
_atom_site_type_symbol
_atom_site_fract_x
_atom_site_fract_y
_atom_site_fract_z
_atom_site_occupancy
Tm1 Tm 0.0945 0.0000 0.2832 1
Tm2 Tm 0.1187 0.5000 0.7610 1
Sb1 Sb 0.2313 0.5000 0.2348 1
Ru1 Ru 0.0000 0.5000 0.0000 1
```

No. 8
Structure and computed X-ray powder pattern of U4SbRu (a crystal structure in Alexandria, relaxed with PBE; CuKα).
No peak broadening, texture or thermal motion is included.

Top 10 peaks for 2θ from 5° to 70°, in order of rising 2θ:
2θ (°)  d [Å]  I/Imax
19.34  4.589  26
32.92  2.721  34
34.00  2.637  60
34.51  2.599  23
35.07  2.559  100
36.14  2.486  40
37.05  2.426  76
37.93  2.372  90
41.97  2.153  45
53.65  1.708  22

```
data_U4SbRu
_symmetry_space_group_name_H-M 'P -1'
_symmetry_Int_Tables_number 2
_symmetry_space_group_name_Hall '-P 1'
_cell_length_a 5.3273
_cell_length_b 5.3691
_cell_length_c 9.2388
_cell_angle_alpha 85.65
_cell_angle_beta 84.00
_cell_angle_gamma 71.78
loop_
_atom_site_label
_atom_site_type_symbol
_atom_site_fract_x
_atom_site_fract_y
_atom_site_fract_z
_atom_site_occupancy
U1 U 0.0576 0.4469 0.3348 1
U2 U 0.2708 0.7886 0.2174 1
U3 U 0.3875 0.0731 0.6487 1
U4 U 0.3970 0.6730 0.8413 1
Sb1 Sb 0.1855 0.2191 0.9734 1
Ru1 Ru 0.0000 0.0000 0.5000 1
Ru2 Ru 0.5000 0.5000 0.5000 1
```

No. 9
Structure and computed X-ray powder pattern of U2Sb2Ru3 (a crystal structure in Alexandria, relaxed with PBE; CuKα).
No peak broadening, texture or thermal motion is included.

Top 10 peaks for 2θ from 5° to 70°, in order of rising 2θ:
2θ (°)  d [Å]  I/Imax
20.36  4.361  19
27.70  3.221  35
28.34  3.149  25
33.02  2.713  100
34.37  2.609  20
38.86  2.317  43
40.26  2.240  26
42.74  2.116  26
45.34  2.000  28
57.20  1.610  31

```
data_U2Sb2Ru3
_symmetry_space_group_name_H-M 'C 1 2/m 1'
_symmetry_Int_Tables_number 12
_symmetry_space_group_name_Hall '-C 2y'
_cell_length_a 12.9061
_cell_length_b 4.6348
_cell_length_c 4.9144
_cell_angle_alpha 90.00
_cell_angle_beta 93.97
_cell_angle_gamma 90.00
loop_
_atom_site_label
_atom_site_type_symbol
_atom_site_fract_x
_atom_site_fract_y
_atom_site_fract_z
_atom_site_occupancy
U1 U 0.1478 0.0000 0.3754 1
Sb1 Sb 0.0964 0.5000 0.8213 1
Ru1 Ru 0.0000 0.0000 0.0000 1
Ru2 Ru 0.2241 0.0000 0.8250 1
```

No. 10
Structure and computed X-ray powder pattern of USb2Ru (a crystal structure in Alexandria, relaxed with PBE; CuKα).
No peak broadening, texture or thermal motion is included.

Top 10 peaks for 2θ from 5° to 70°, in order of rising 2θ:
2θ (°)  d [Å]  I/Imax
9.65  9.163  9
22.48  3.955  14
29.24  3.054  8
34.94  2.568  100
35.83  2.506  11
39.33  2.291  10
41.18  2.192  39
41.50  2.176  9
58.25  1.584  13
59.65  1.550  13

```
data_USb2Ru
_symmetry_space_group_name_H-M 'P 4/n m m'
_symmetry_Int_Tables_number 129
_cell_length_a 4.3844
_cell_length_b 4.3844
_cell_length_c 9.1629
_cell_angle_alpha 90.00
_cell_angle_beta 90.00
_cell_angle_gamma 90.00
loop_
_symmetry_equiv_pos_as_xyz
'x,y,z'
'-x,-y,-z'
'-y+1/2,x,z'
'y+1/2,-x,-z'
'-x+1/2,-y+1/2,z'
'x+1/2,y+1/2,-z'
'y,-x+1/2,z'
'-y,x+1/2,-z'
'x+1/2,-y,-z'
'-x+1/2,y,z'
'-y,-x,-z'
'y,x,z'
'-x,y+1/2,-z'
'x,-y+1/2,z'
'y+1/2,x+1/2,-z'
'-y+1/2,-x+1/2,z'
loop_
_atom_site_label
_atom_site_type_symbol
_atom_site_fract_x
_atom_site_fract_y
_atom_site_fract_z
_atom_site_occupancy
U1 U 0.2500 0.2500 0.2272 1
Sb1 Sb 0.2500 0.2500 0.8216 1
Sb2 Sb 0.2500 0.7500 0.5000 1
Ru1 Ru 0.2500 0.7500 0.0000 1
```

No. 11
Structure and computed X-ray powder pattern of U3Sb4Ru3 (a crystal structure in Alexandria, relaxed with PBE; CuKα).
No peak broadening, texture or thermal motion is included.

Top 10 peaks for 2θ from 5° to 70°, in order of rising 2θ:
2θ (°)  d [Å]  I/Imax
22.80  3.900  12
29.57  3.021  38
35.15  2.553  100
42.31  2.136  46
44.48  2.037  12
46.57  1.950  14
52.46  1.744  15
59.66  1.550  17
61.38  1.511  11
67.98  1.379  11

```
data_U3Sb4Ru3
_symmetry_space_group_name_H-M 'I -4 3 d'
_symmetry_Int_Tables_number 220
_symmetry_space_group_name_Hall 'I -4bd 2c 3'
_cell_length_a 9.5533
_cell_length_b 9.5533
_cell_length_c 9.5533
_cell_angle_alpha 90.00
_cell_angle_beta 90.00
_cell_angle_gamma 90.00
loop_
_atom_site_label
_atom_site_type_symbol
_atom_site_fract_x
_atom_site_fract_y
_atom_site_fract_z
_atom_site_occupancy
U1 U 0.0000 0.2500 0.3750 1
Sb1 Sb 0.0873 0.0873 0.0873 1
Ru1 Ru 0.0000 0.2500 0.8750 1
```

No. 12
Structure and computed X-ray powder pattern of USb2Ru2 (a crystal structure in Alexandria, relaxed with PBE; CuKα).
No peak broadening, texture or thermal motion is included.

Top 10 peaks for 2θ from 5° to 70°, in order of rising 2θ:
2θ (°)  d [Å]  I/Imax
8.80  10.043  37
26.28  3.391  72
26.63  3.348  33
27.31  3.265  47
33.10  2.706  31
36.87  2.438  87
38.83  2.319  59
39.19  2.299  71
40.10  2.249  100
56.36  1.632  36

```
data_USb2Ru2
_symmetry_space_group_name_H-M 'P 1 21/m 1'
_symmetry_Int_Tables_number 11
_symmetry_space_group_name_Hall '-P 2yb'
_cell_length_a 4.6684
_cell_length_b 4.5975
_cell_length_c 10.1092
_cell_angle_alpha 90.00
_cell_angle_beta 96.57
_cell_angle_gamma 90.00
loop_
_atom_site_label
_atom_site_type_symbol
_atom_site_fract_x
_atom_site_fract_y
_atom_site_fract_z
_atom_site_occupancy
U1 U 0.1681 0.2500 0.1520 1
Sb1 Sb 0.2441 0.2500 0.4840 1
Sb2 Sb 0.3127 0.2500 0.7980 1
Ru1 Ru 0.2253 0.7500 0.3416 1
Ru2 Ru 0.3447 0.7500 0.9422 1
```

No. 13
Structure and computed X-ray powder pattern of SbRuW2 (a crystal structure in Alexandria, relaxed with PBE; CuKα).
No peak broadening, texture or thermal motion is included.

Top 10 peaks for 2θ from 5° to 70°, in order of rising 2θ:
2θ (°)  d [Å]  I/Imax
13.28  6.669  14
31.08  2.877  4
39.08  2.305  100
39.98  2.255  48
42.31  2.136  4
50.01  1.824  4
55.08  1.667  9
57.82  1.595  16
59.61  1.551  1
67.11  1.395  1

```
data_SbRuW2
_symmetry_space_group_name_H-M 'P 4 m m'
_symmetry_Int_Tables_number 99
_symmetry_space_group_name_Hall 'P 4 -2'
_cell_length_a 3.1892
_cell_length_b 3.1892
_cell_length_c 6.6694
_cell_angle_alpha 90.00
_cell_angle_beta 90.00
_cell_angle_gamma 90.00
loop_
_atom_site_label
_atom_site_type_symbol
_atom_site_fract_x
_atom_site_fract_y
_atom_site_fract_z
_atom_site_occupancy
Sb1 Sb 0.0000 0.0000 0.0000 1
Ru1 Ru 0.5000 0.5000 0.7358 1
W1 W 0.0000 0.0000 0.5009 1
W2 W 0.5000 0.5000 0.2719 1
```